Cd3Pd: theoretical powder XRD pattern (Cu Ka), based on a PBE-relaxed structure.
Lines closer than 0.1° are merged.

Largest 8 diffraction maxima, low angle first, 15 to 90 degrees two-theta:
- 2θ = 36.7°, d 2.451, I 100
- 2θ = 41.0°, d 2.202, I 18
- 2θ = 42.6°, d 2.124, I 16
- 2θ = 44.2°, d 2.051, I 15
- 2θ = 60.6°, d 1.528, I 11
- 2θ = 71.8°, d 1.314, I 13
- 2θ = 74.0°, d 1.280, I 12
- 2θ = 76.3°, d 1.248, I 11

Cell and atoms:
```
data_Cd3Pd
_cell_length_a 4.1015
_cell_length_b 4.2473
_cell_length_c 8.8063
_cell_angle_alpha 90.00
_cell_angle_beta 90.00
_cell_angle_gamma 90.00
_space_group_name_H-M_alt 'I m m m'
_space_group_IT_number 71
_space_group_name_Hall '-I 2 2'
loop_
_atom_site_label
_atom_site_type_symbol
_atom_site_fract_x
_atom_site_fract_y
_atom_site_fract_z
_atom_site_occupancy
Cd1 Cd 0.0000 0.0000 0.0000 1
Cd2 Cd 0.0000 0.5000 0.2475 1
Pd1 Pd 0.0000 0.0000 0.5000 1
```

Cd2Pd3: theoretical powder XRD pattern (Cu Ka), based on a PBE-relaxed structure.
Lines closer than 0.1° are merged.

Largest 8 diffraction maxima, low angle first, 15 to 90 degrees two-theta:
- 2θ = 38.2°, d 2.357, I 58
- 2θ = 39.8°, d 2.264, I 100
- 2θ = 55.1°, d 1.667, I 19
- 2θ = 60.0°, d 1.542, I 7
- 2θ = 70.1°, d 1.342, I 36
- 2θ = 73.4°, d 1.290, I 15
- 2θ = 81.7°, d 1.179, I 6
- 2θ = 85.9°, d 1.132, I 10

Cell and atoms:
```
data_Cd2Pd3
_cell_length_a 3.3333
_cell_length_b 3.3333
_cell_length_c 15.4213
_cell_angle_alpha 90.00
_cell_angle_beta 90.00
_cell_angle_gamma 90.00
_space_group_name_H-M_alt 'P 4/m m m'
_space_group_IT_number 123
_space_group_name_Hall '-P 4 2'
loop_
_atom_site_label
_atom_site_type_symbol
_atom_site_fract_x
_atom_site_fract_y
_atom_site_fract_z
_atom_site_occupancy
Cd1 Cd 0.0000 0.0000 0.1024 1
Cd2 Cd 0.0000 0.0000 0.3087 1
Pd1 Pd 0.0000 0.0000 0.5000 1
Pd2 Pd 0.5000 0.5000 0.0000 1
Pd3 Pd 0.5000 0.5000 0.2039 1
Pd4 Pd 0.5000 0.5000 0.4057 1
```

Cd3Pd2: theoretical powder XRD pattern (Cu Ka), based on a PBE-relaxed structure.
Lines closer than 0.1° are merged.

Largest 8 diffraction maxima, low angle first, 15 to 90 degrees two-theta:
- 2θ = 38.0°, d 2.371, I 100
- 2θ = 38.9°, d 2.315, I 53
- 2θ = 41.9°, d 2.156, I 8
- 2θ = 53.3°, d 1.719, I 6
- 2θ = 56.2°, d 1.637, I 18
- 2θ = 67.9°, d 1.380, I 11
- 2θ = 69.8°, d 1.347, I 31
- 2θ = 81.1°, d 1.185, I 7

Cell and atoms:
```
data_Cd3Pd2
_cell_length_a 3.2744
_cell_length_b 3.2744
_cell_length_c 17.1854
_cell_angle_alpha 90.00
_cell_angle_beta 90.00
_cell_angle_gamma 90.00
_space_group_name_H-M_alt 'P 4/m m m'
_space_group_IT_number 123
_space_group_name_Hall '-P 4 2'
loop_
_atom_site_label
_atom_site_type_symbol
_atom_site_fract_x
_atom_site_fract_y
_atom_site_fract_z
_atom_site_occupancy
Cd1 Cd 0.0000 0.0000 0.0000 1
Cd2 Cd 0.0000 0.0000 0.1903 1
Cd3 Cd 0.0000 0.0000 0.3812 1
Cd4 Cd 0.5000 0.5000 0.5000 1
Pd1 Pd 0.5000 0.5000 0.0950 1
Pd2 Pd 0.5000 0.5000 0.2859 1
```

Pm2Cd5Pd4: theoretical powder XRD pattern (Cu Ka), based on a PBE-relaxed structure.
Lines closer than 0.1° are merged.

Largest 8 diffraction maxima, low angle first, 15 to 90 degrees two-theta:
- 2θ = 27.2°, d 3.283, I 39
- 2θ = 33.1°, d 2.708, I 37
- 2θ = 35.9°, d 2.500, I 87
- 2θ = 37.1°, d 2.426, I 40
- 2θ = 37.3°, d 2.412, I 100
- 2θ = 39.2°, d 2.298, I 63
- 2θ = 41.1°, d 2.196, I 41
- 2θ = 62.8°, d 1.480, I 32

Cell and atoms:
```
data_Pm2Cd5Pd4
_cell_length_a 5.6672
_cell_length_b 9.3832
_cell_length_c 18.3872
_cell_angle_alpha 90.00
_cell_angle_beta 90.00
_cell_angle_gamma 90.00
_space_group_name_H-M_alt 'F m m m'
_space_group_IT_number 69
_space_group_name_Hall '-F 2 2'
loop_
_atom_site_label
_atom_site_type_symbol
_atom_site_fract_x
_atom_site_fract_y
_atom_site_fract_z
_atom_site_occupancy
Pm1 Pm 0.0000 0.0000 0.1311 1
Cd1 Cd 0.0000 0.0000 0.5000 1
Cd2 Cd 0.2500 0.2500 0.0000 1
Cd3 Cd 0.2500 0.2500 0.2500 1
Pd1 Pd 0.0000 0.1624 0.3720 1
```

PmCdPd6: theoretical powder XRD pattern (Cu Ka), based on a PBE-relaxed structure.
Lines closer than 0.1° are merged.

Largest 8 diffraction maxima, low angle first, 15 to 90 degrees two-theta:
- 2θ = 34.3°, d 2.618, I 42
- 2θ = 38.4°, d 2.342, I 100
- 2θ = 42.3°, d 2.138, I 93
- 2θ = 64.1°, d 1.452, I 22
- 2θ = 66.9°, d 1.399, I 46
- 2θ = 72.2°, d 1.309, I 17
- 2θ = 82.4°, d 1.171, I 13
- 2θ = 84.9°, d 1.143, I 20

Cell and atoms:
```
data_PmCdPd6
_cell_length_a 5.2358
_cell_length_b 5.2358
_cell_length_c 5.2358
_cell_angle_alpha 90.00
_cell_angle_beta 90.00
_cell_angle_gamma 90.00
_space_group_name_H-M_alt 'P m -3'
_space_group_IT_number 200
_space_group_name_Hall '-P 2 2 3'
loop_
_atom_site_label
_atom_site_type_symbol
_atom_site_fract_x
_atom_site_fract_y
_atom_site_fract_z
_atom_site_occupancy
Pm1 Pm 0.0000 0.0000 0.0000 1
Cd1 Cd 0.5000 0.5000 0.5000 1
Pd1 Pd 0.0000 0.2538 0.5000 1
```

Pm3Cd2Pd: theoretical powder XRD pattern (Cu Ka), based on a PBE-relaxed structure.
Lines closer than 0.1° are merged.

Largest 8 diffraction maxima, low angle first, 15 to 90 degrees two-theta:
- 2θ = 33.8°, d 2.653, I 100
- 2θ = 48.4°, d 1.881, I 5
- 2θ = 48.6°, d 1.873, I 12
- 2θ = 60.4°, d 1.534, I 11
- 2θ = 60.5°, d 1.531, I 24
- 2θ = 71.0°, d 1.327, I 7
- 2θ = 71.2°, d 1.325, I 4
- 2θ = 81.2°, d 1.185, I 10

Cell and atoms:
```
data_Pm3Cd2Pd
_cell_length_a 3.7468
_cell_length_b 3.7468
_cell_length_c 11.2839
_cell_angle_alpha 90.00
_cell_angle_beta 90.00
_cell_angle_gamma 90.00
_space_group_name_H-M_alt 'P 4/m m m'
_space_group_IT_number 123
_space_group_name_Hall '-P 4 2'
loop_
_atom_site_label
_atom_site_type_symbol
_atom_site_fract_x
_atom_site_fract_y
_atom_site_fract_z
_atom_site_occupancy
Pm1 Pm 0.0000 0.0000 0.0000 1
Pm2 Pm 0.0000 0.0000 0.3500 1
Cd1 Cd 0.5000 0.5000 0.1712 1
Pd1 Pd 0.5000 0.5000 0.5000 1
```

PmCd9Pd3: theoretical powder XRD pattern (Cu Ka), based on a PBE-relaxed structure.
Lines closer than 0.1° are merged.

Largest 8 diffraction maxima, low angle first, 15 to 90 degrees two-theta:
- 2θ = 31.6°, d 2.832, I 62
- 2θ = 31.7°, d 2.824, I 35
- 2θ = 36.4°, d 2.469, I 77
- 2θ = 36.6°, d 2.453, I 100
- 2θ = 36.7°, d 2.446, I 98
- 2θ = 37.0°, d 2.427, I 64
- 2θ = 40.9°, d 2.204, I 72
- 2θ = 41.4°, d 2.179, I 42

Cell and atoms:
```
data_PmCd9Pd3
_cell_length_a 5.6710
_cell_length_b 13.9950
_cell_length_c 7.3968
_cell_angle_alpha 90.00
_cell_angle_beta 112.37
_cell_angle_gamma 90.00
_space_group_name_H-M_alt 'C 1 2/m 1'
_space_group_IT_number 12
_space_group_name_Hall '-C 2y'
loop_
_atom_site_label
_atom_site_type_symbol
_atom_site_fract_x
_atom_site_fract_y
_atom_site_fract_z
_atom_site_occupancy
Pm1 Pm 0.0000 0.0000 0.0000 1
Cd1 Cd 0.0000 0.0000 0.5000 1
Cd2 Cd 0.1016 0.3900 0.2125 1
Cd3 Cd 0.1750 0.1741 0.3346 1
Pd1 Pd 0.0000 0.5000 0.5000 1
Pd2 Pd 0.2500 0.2500 0.0000 1
```

Pm6CdPd3: theoretical powder XRD pattern (Cu Ka), based on a PBE-relaxed structure.
Lines closer than 0.1° are merged.

Largest 8 diffraction maxima, low angle first, 15 to 90 degrees two-theta:
- 2θ = 31.4°, d 2.847, I 44
- 2θ = 32.8°, d 2.728, I 59
- 2θ = 33.7°, d 2.659, I 100
- 2θ = 35.0°, d 2.564, I 21
- 2θ = 46.2°, d 1.964, I 19
- 2θ = 58.4°, d 1.581, I 17
- 2θ = 59.3°, d 1.559, I 9
- 2θ = 63.9°, d 1.457, I 12

Cell and atoms:
```
data_Pm6CdPd3
_cell_length_a 11.3288
_cell_length_b 12.0693
_cell_length_c 7.8575
_cell_angle_alpha 90.00
_cell_angle_beta 90.00
_cell_angle_gamma 90.00
_space_group_name_H-M_alt 'C m c m'
_space_group_IT_number 63
_space_group_name_Hall '-C 2c 2'
loop_
_atom_site_label
_atom_site_type_symbol
_atom_site_fract_x
_atom_site_fract_y
_atom_site_fract_z
_atom_site_occupancy
Pm1 Pm 0.0000 0.1576 0.0001 1
Pm2 Pm 0.1788 0.5000 0.0000 1
Pm3 Pm 0.2387 0.2576 0.2500 1
Cd1 Cd 0.0000 0.3698 0.7500 1
Pd1 Pd 0.0000 0.3829 0.2500 1
Pd2 Pd 0.1248 0.0012 0.2500 1
```

PmCdSi2Pd5: theoretical powder XRD pattern (Cu Ka), based on a PBE-relaxed structure.
Lines closer than 0.1° are merged.

Largest 8 diffraction maxima, low angle first, 15 to 90 degrees two-theta:
- 2θ = 36.3°, d 2.473, I 100
- 2θ = 41.5°, d 2.177, I 15
- 2θ = 42.6°, d 2.125, I 37
- 2θ = 60.9°, d 1.521, I 19
- 2θ = 61.8°, d 1.502, I 12
- 2θ = 72.3°, d 1.307, I 13
- 2θ = 73.8°, d 1.284, I 25
- 2θ = 77.1°, d 1.237, I 9

Cell and atoms:
```
data_PmCdSi2Pd5
_cell_length_a 4.2490
_cell_length_b 4.2490
_cell_length_c 8.7098
_cell_angle_alpha 90.00
_cell_angle_beta 90.00
_cell_angle_gamma 90.00
_space_group_name_H-M_alt 'P 4/m m m'
_space_group_IT_number 123
_space_group_name_Hall '-P 4 2'
loop_
_atom_site_label
_atom_site_type_symbol
_atom_site_fract_x
_atom_site_fract_y
_atom_site_fract_z
_atom_site_occupancy
Pm1 Pm 0.0000 0.0000 0.0000 1
Cd1 Cd 0.0000 0.0000 0.5000 1
Si1 Si 0.5000 0.5000 0.3687 1
Pd1 Pd 0.0000 0.5000 0.2428 1
Pd2 Pd 0.5000 0.5000 0.0000 1
```

PrCd2Pd9: theoretical powder XRD pattern (Cu Ka), based on a PBE-relaxed structure.
Lines closer than 0.1° are merged.

Largest 8 diffraction maxima, low angle first, 15 to 90 degrees two-theta:
- 2θ = 33.4°, d 2.681, I 36
- 2θ = 38.9°, d 2.313, I 25
- 2θ = 39.4°, d 2.287, I 100
- 2θ = 41.2°, d 2.190, I 31
- 2θ = 42.6°, d 2.124, I 35
- 2θ = 63.8°, d 1.460, I 27
- 2θ = 70.2°, d 1.341, I 22
- 2θ = 84.8°, d 1.143, I 17

Cell and atoms:
```
data_PrCd2Pd9
_cell_length_a 5.3623
_cell_length_b 5.3623
_cell_length_c 26.2770
_cell_angle_alpha 90.00
_cell_angle_beta 90.00
_cell_angle_gamma 120.00
_space_group_name_H-M_alt 'R -3 m'
_space_group_IT_number 166
_space_group_name_Hall '-R 3 2"'
loop_
_atom_site_label
_atom_site_type_symbol
_atom_site_fract_x
_atom_site_fract_y
_atom_site_fract_z
_atom_site_occupancy
Pr1 Pr 0.0000 0.0000 0.0000 1
Cd1 Cd 0.0000 0.0000 0.1444 1
Pd1 Pd 0.0000 0.0000 0.3337 1
Pd2 Pd 0.0000 0.0000 0.5000 1
Pd3 Pd 0.0042 0.5021 0.9139 1
```

PrCd4Pd2: theoretical powder XRD pattern (Cu Ka), based on a PBE-relaxed structure.
Lines closer than 0.1° are merged.

Largest 8 diffraction maxima, low angle first, 15 to 90 degrees two-theta:
- 2θ = 31.4°, d 2.852, I 100
- 2θ = 34.2°, d 2.620, I 41
- 2θ = 36.7°, d 2.450, I 76
- 2θ = 39.9°, d 2.260, I 65
- 2θ = 40.4°, d 2.234, I 44
- 2θ = 45.1°, d 2.010, I 31
- 2θ = 59.5°, d 1.554, I 22
- 2θ = 62.1°, d 1.494, I 23

Cell and atoms:
```
data_PrCd4Pd2
_cell_length_a 8.2867
_cell_length_b 8.2867
_cell_length_c 4.4681
_cell_angle_alpha 90.00
_cell_angle_beta 90.00
_cell_angle_gamma 90.00
_space_group_name_H-M_alt 'P 42/m n m'
_space_group_IT_number 136
_space_group_name_Hall '-P 4n 2n'
loop_
_atom_site_label
_atom_site_type_symbol
_atom_site_fract_x
_atom_site_fract_y
_atom_site_fract_z
_atom_site_occupancy
Pr1 Pr 0.0000 0.0000 0.0000 1
Cd1 Cd 0.0977 0.3449 0.5000 1
Pd1 Pd 0.2034 0.7966 0.5000 1
```

PrCd8Pd4: theoretical powder XRD pattern (Cu Ka), based on a PBE-relaxed structure.
Lines closer than 0.1° are merged.

Largest 8 diffraction maxima, low angle first, 15 to 90 degrees two-theta:
- 2θ = 32.0°, d 2.800, I 50
- 2θ = 36.5°, d 2.460, I 73
- 2θ = 37.1°, d 2.421, I 100
- 2θ = 37.3°, d 2.408, I 71
- 2θ = 41.2°, d 2.191, I 81
- 2θ = 41.9°, d 2.154, I 32
- 2θ = 66.8°, d 1.400, I 31
- 2θ = 67.2°, d 1.393, I 28

Cell and atoms:
```
data_PrCd8Pd4
_cell_length_a 9.6328
_cell_length_b 9.6328
_cell_length_c 5.7219
_cell_angle_alpha 90.00
_cell_angle_beta 90.00
_cell_angle_gamma 90.00
_space_group_name_H-M_alt 'I 4/m m m'
_space_group_IT_number 139
_space_group_name_Hall '-I 4 2'
loop_
_atom_site_label
_atom_site_type_symbol
_atom_site_fract_x
_atom_site_fract_y
_atom_site_fract_z
_atom_site_occupancy
Pr1 Pr 0.0000 0.0000 0.0000 1
Cd1 Cd 0.0000 0.2183 0.5000 1
Cd2 Cd 0.0000 0.3407 0.0000 1
Pd1 Pd 0.2500 0.2500 0.2500 1
```